(1)
Structure and simulated XRD peak list of Tb2Fe17 (a structure optimized by DFT (GGA-PBE); Cu Kα (weighted mean of Kα1 and Kα2)).

Structure:
a = 6.409 Å, b = 6.409 Å, c = 6.409 Å
α = 82.84°, β = 82.84°, γ = 82.84°
Fractional positions:
Tb 0.159 0.159 0.159
Tb 0.841 0.841 0.841
Fe 0.000 0.500 0.500
Fe 0.157 0.157 0.656
Fe 0.157 0.656 0.157
Fe 0.205 0.500 0.795
Fe 0.205 0.795 0.500
Fe 0.344 0.843 0.843
Fe 0.403 0.403 0.403
Fe 0.500 0.000 0.500
Fe 0.500 0.205 0.795
Fe 0.500 0.500 0.000
Fe 0.500 0.795 0.205
Fe 0.597 0.597 0.597
Fe 0.656 0.157 0.157
Fe 0.795 0.205 0.500
Fe 0.795 0.500 0.205
Fe 0.843 0.344 0.843
Fe 0.843 0.843 0.344

Top 10 peaks for 10 to 80 degrees two-theta, by angle:
30.19 deg, I = 40; 36.71 deg, I = 42; 37.97 deg, I = 26; 42.64 deg, I = 60; 42.93 deg, I = 100; 43.77 deg, I = 48; 62.12 deg, I = 23; 62.76 deg, I = 26; 70.40 deg, I = 18; 79.85 deg, I = 18

=====

(2)
Structure and simulated XRD peak list of PrB2Ru2 (a structure optimized by DFT (GGA-PBE); Cu Kα (weighted mean of Kα1 and Kα2)).

Structure:
a = 6.815 Å, b = 6.000 Å, c = 5.639 Å
α = 71.61°, β = 56.66°, γ = 51.74°
Fractional positions:
Pr 0.125 0.125 0.125
Pr 0.875 0.875 0.875
B 0.194 0.556 0.194
B 0.444 0.806 0.444
B 0.556 0.194 0.556
B 0.806 0.444 0.806
Ru 0.238 0.238 0.512
Ru 0.488 0.488 0.762
Ru 0.512 0.512 0.238
Ru 0.762 0.762 0.488

Top 10 peaks for 10 to 80 degrees two-theta, by angle:
26.26 deg, I = 17; 31.52 deg, I = 100; 32.68 deg, I = 16; 33.65 deg, I = 100; 39.20 deg, I = 34; 42.27 deg, I = 51; 50.96 deg, I = 26; 58.85 deg, I = 19; 59.01 deg, I = 16; 70.76 deg, I = 17

=====

(3)
Structure and simulated XRD peak list of AlCrNi (a structure optimized by DFT (GGA-PBE); Cu Kα (weighted mean of Kα1 and Kα2)).

Structure:
a = 4.909 Å, b = 4.909 Å, c = 4.909 Å
α = 127.85°, β = 121.63°, γ = 82.07°
Fractional positions:
Al 0.360 0.110 0.250
Al 0.640 0.890 0.750
Cr 0.000 0.000 0.500
Cr 0.000 0.500 0.000
Ni 0.000 0.500 0.500
Ni 0.500 0.500 0.000

Top 10 peaks for 10 to 80 degrees two-theta, by angle:
22.11 deg, I = 34; 23.87 deg, I = 40; 41.14 deg, I = 28; 42.17 deg, I = 27; 45.05 deg, I = 100; 47.85 deg, I = 29; 48.86 deg, I = 42; 49.22 deg, I = 12; 57.51 deg, I = 14; 79.02 deg, I = 25

=====

(4)
Structure and simulated XRD peak list of Mg2Si (a structure optimized by DFT (GGA-PBE); Cu Kα (weighted mean of Kα1 and Kα2)).

Structure:
a = 4.672 Å, b = 7.894 Å, c = 6.132 Å
α = 90.00°, β = 90.68°, γ = 90.00°
Fractional positions:
Mg 0.239 0.248 0.499
Mg 0.239 0.252 0.999
Mg 0.258 0.586 0.256
Mg 0.258 0.914 0.756
Mg 0.742 0.086 0.244
Mg 0.742 0.414 0.744
Mg 0.761 0.748 0.001
Mg 0.761 0.752 0.501
Si 0.245 0.578 0.754
Si 0.245 0.922 0.254
Si 0.755 0.078 0.746
Si 0.755 0.422 0.246

Top 10 peaks for 10 to 80 degrees two-theta, by angle:
29.13 deg, I = 15; 36.68 deg, I = 51; 37.10 deg, I = 100; 38.55 deg, I = 51; 39.30 deg, I = 96; 54.32 deg, I = 16; 54.87 deg, I = 15; 55.37 deg, I = 14; 70.24 deg, I = 16; 74.22 deg, I = 14

=====

Which formula does entry 1 have?
Tb2Fe17

=====

What is the formula in the first record?
Tb2Fe17